Entry 1:
Starting from DFT lattice parameters and positions (PBE), the X-ray diffraction stick pattern of K6NaAu2IO8 was calculated for copper Kα.
Kinematic intensities with the Lorentz-polarization factor, no thermal factor.

Cell and atoms:
```
36
Lattice="7.058 0.000 0.000 0.000 9.694 0.000 -6.544 0.000 10.048" Properties=species:S:1:pos:R:3 pbc="T T T"
K -1.636 1.441 2.512
K -4.908 8.253 7.536
K -5.889 1.578 9.172
K -2.617 8.116 4.148
K -0.516 3.107 5.872
K 2.756 6.588 0.847
K 1.893 3.308 2.512
K -1.379 6.386 7.536
K -2.242 3.107 9.201
K 1.030 6.588 4.177
K 3.131 1.578 5.900
K 6.403 8.116 0.876
Na 1.893 0.058 2.512
Na -1.379 9.637 7.536
Au -4.908 4.444 7.536
Au 0.000 4.847 0.000
Au -3.272 4.847 5.024
Au -1.636 5.250 2.512
I 3.529 0.000 0.000
I 0.257 0.000 5.024
O -2.968 4.332 6.952
O 0.304 5.363 1.928
O -1.528 0.718 5.153
O 1.743 8.976 0.129
O -3.420 0.797 8.357
O -0.149 8.897 3.333
O 0.849 1.594 4.100
O -2.423 8.100 9.124
O 2.937 1.594 0.925
O -0.335 8.100 5.949
O 0.663 0.797 6.716
O 3.935 8.897 1.692
O -1.229 0.718 9.919
O 2.043 8.976 4.895
O 0.211 4.332 8.121
O 3.482 5.363 3.096
```

The 10 most intense peaks (2θ from 5° to 70°), by angle:
| 2θ (°) | I_rel |
| --- | --- |
| 9.12 | 27.6 |
| 17.57 | 100.0 |
| 18.28 | 59.6 |
| 23.73 | 15.7 |
| 30.22 | 35.5 |
| 31.55 | 91.9 |
| 36.91 | 27.9 |
| 40.44 | 21.0 |
| 40.97 | 21.6 |
| 41.33 | 18.1 |

---

Entry 2:
Starting from DFT lattice parameters and positions (PBE), the X-ray diffraction stick pattern of NdHo2Tl2Cd4 was calculated for copper Kα.
Kinematic intensities with the Lorentz-polarization factor, no thermal factor.

Cell and atoms:
```
9
Lattice="4.601 0.000 0.000 0.000 6.622 3.766 0.000 -6.622 3.766" Properties=species:S:1:pos:R:3 pbc="T T T"
Nd 0.000 0.000 0.000
Ho 0.000 -2.824 4.801
Ho 0.000 2.824 4.801
Tl 2.301 -4.372 3.198
Tl 2.301 4.372 3.198
Cd 0.000 0.000 3.270
Cd 2.301 -1.577 2.312
Cd 2.301 1.577 2.312
Cd 2.301 0.000 5.027
```

The 10 most intense peaks (2θ from 5° to 70°), by angle:
| 2θ (°) | I_rel |
| --- | --- |
| 30.47 | 73.9 |
| 30.68 | 41.6 |
| 33.34 | 45.2 |
| 33.60 | 100.0 |
| 35.94 | 21.8 |
| 36.12 | 19.2 |
| 39.16 | 47.2 |
| 41.37 | 22.2 |
| 54.17 | 19.6 |
| 65.60 | 22.3 |

---

Entry 3:
Starting from DFT lattice parameters and positions (PBE), the X-ray diffraction stick pattern of CsHfTe2AuSe was calculated for copper Kα.
Kinematic intensities with the Lorentz-polarization factor, no thermal factor.

Cell and atoms:
```
12
Lattice="2.083 -8.550 0.000 2.083 8.550 0.000 0.000 0.000 10.665" Properties=species:S:1:pos:R:3 pbc="T T T"
Cs 2.083 4.289 7.999
Cs 2.083 -4.289 2.666
Hf 0.000 0.000 0.000
Hf 0.000 0.000 5.332
Te 2.083 2.046 0.309
Te 2.083 2.046 5.023
Te 2.083 -2.046 5.641
Te 2.083 -2.046 10.356
Au 2.083 0.723 2.666
Au 2.083 -0.723 7.999
Se 2.083 7.618 2.666
Se 2.083 -7.618 7.999
```

The 10 most intense peaks (2θ from 5° to 70°), by angle:
| 2θ (°) | I_rel |
| --- | --- |
| 10.35 | 100.0 |
| 26.73 | 24.4 |
| 27.81 | 70.1 |
| 31.45 | 64.5 |
| 33.61 | 50.8 |
| 37.99 | 38.5 |
| 43.44 | 25.8 |
| 50.34 | 22.7 |
| 50.68 | 22.9 |
| 56.02 | 22.0 |

---

Entry 4:
Starting from DFT lattice parameters and positions (PBE), the X-ray diffraction stick pattern of KFe2S3 was calculated for copper Kα.
Kinematic intensities with the Lorentz-polarization factor, no thermal factor.

Cell and atoms:
```
12
Lattice="4.449 -5.281 0.000 4.449 5.281 0.000 0.000 0.000 5.143" Properties=species:S:1:pos:R:3 pbc="T T T"
K 4.449 3.533 3.858
K 4.449 -3.533 1.286
Fe 3.175 0.000 0.000
Fe 3.175 0.000 2.572
Fe 5.723 0.000 0.000
Fe 5.723 0.000 2.572
S 1.984 1.188 3.858
S 1.984 -1.188 1.286
S 4.449 1.207 1.286
S 4.449 -1.207 3.858
S 6.914 1.188 3.858
S 6.914 -1.188 1.286
```

The 10 most intense peaks (2θ from 5° to 70°), by angle:
| 2θ (°) | I_rel |
| --- | --- |
| 13.01 | 100.0 |
| 16.79 | 73.8 |
| 27.24 | 36.0 |
| 31.53 | 80.0 |
| 37.38 | 17.5 |
| 38.95 | 19.4 |
| 47.58 | 25.5 |
| 49.48 | 32.4 |
| 53.89 | 32.0 |
| 54.54 | 22.9 |

---

Entry 5:
Starting from DFT lattice parameters and positions (PBE), the X-ray diffraction stick pattern of PrTlNiSe3 was calculated for copper Kα.
Kinematic intensities with the Lorentz-polarization factor, no thermal factor.

Cell and atoms:
```
24
Lattice="11.723 0.000 0.000 0.000 4.276 0.000 0.000 0.000 12.463" Properties=species:S:1:pos:R:3 pbc="T T T"
Pr 0.187 1.069 2.180
Pr 5.675 3.207 8.411
Pr 6.048 1.069 4.052
Pr 11.536 3.207 10.283
Tl 2.041 1.069 6.291
Tl 3.821 3.207 0.059
Tl 7.902 1.069 12.404
Tl 9.683 3.207 6.172
Ni 2.897 3.207 3.732
Ni 2.964 1.069 9.963
Ni 8.759 3.207 2.500
Ni 8.826 1.069 8.731
Se 0.558 3.207 4.234
Se 1.336 1.069 11.767
Se 2.648 3.207 8.947
Se 3.214 1.069 2.716
Se 4.526 3.207 5.535
Se 5.303 1.069 10.466
Se 6.420 3.207 1.997
Se 7.197 1.069 6.928
Se 8.509 3.207 9.747
Se 9.075 1.069 3.516
Se 10.388 3.207 0.696
Se 11.165 1.069 8.229
```

The 10 most intense peaks (2θ from 5° to 70°), by angle:
| 2θ (°) | I_rel |
| --- | --- |
| 23.86 | 46.4 |
| 25.79 | 38.4 |
| 26.40 | 39.5 |
| 29.57 | 86.1 |
| 30.97 | 100.0 |
| 32.55 | 39.7 |
| 33.80 | 52.2 |
| 34.26 | 31.4 |
| 36.50 | 43.3 |
| 42.27 | 56.0 |

---

Entry 6:
Starting from DFT lattice parameters and positions (PBE), the X-ray diffraction stick pattern of TbErGe2Ir was calculated for copper Kα.
Kinematic intensities with the Lorentz-polarization factor, no thermal factor.

Cell and atoms:
```
10
Lattice="5.243 -2.148 0.000 5.243 2.148 0.000 -4.633 0.000 9.186" Properties=species:S:1:pos:R:3 pbc="T T T"
Tb 1.446 0.000 1.087
Tb 4.407 0.000 8.099
Er -1.439 0.000 3.038
Er 7.291 0.000 6.149
Ge 1.638 0.000 4.110
Ge 4.489 0.000 1.070
Ge 1.364 0.000 8.117
Ge 4.214 0.000 5.077
Ir -0.230 0.000 6.092
Ir 6.082 0.000 3.094
```

The 10 most intense peaks (2θ from 5° to 70°), by angle:
| 2θ (°) | I_rel |
| --- | --- |
| 9.63 | 25.2 |
| 32.77 | 77.4 |
| 33.67 | 100.0 |
| 34.28 | 30.1 |
| 36.98 | 39.5 |
| 39.23 | 23.7 |
| 40.35 | 70.2 |
| 42.06 | 55.9 |
| 54.92 | 24.7 |
| 66.06 | 23.6 |

---

Entry 7:
Starting from DFT lattice parameters and positions (PBE), the X-ray diffraction stick pattern of Y2TmAl3Si2Ir was calculated for copper Kα.
Kinematic intensities with the Lorentz-polarization factor, no thermal factor.

Cell and atoms:
```
9
Lattice="4.209 0.000 0.000 0.000 5.961 3.451 0.000 -5.961 3.451" Properties=species:S:1:pos:R:3 pbc="T T T"
Y 0.000 -3.475 3.451
Y 0.000 3.475 3.451
Tm 0.000 0.000 2.593
Al 2.105 0.000 0.169
Al 2.105 -1.386 4.648
Al 2.105 1.386 4.648
Si 2.105 -1.969 2.010
Si 2.105 1.969 2.010
Ir 0.000 0.000 5.430
```

The 10 most intense peaks (2θ from 5° to 70°), by angle:
| 2θ (°) | I_rel |
| --- | --- |
| 14.86 | 33.5 |
| 21.11 | 47.0 |
| 25.87 | 37.8 |
| 29.94 | 52.1 |
| 33.61 | 41.5 |
| 36.92 | 100.0 |
| 39.95 | 21.0 |
| 42.97 | 21.7 |
| 45.60 | 42.5 |
| 53.25 | 27.0 |

---

Entry 8:
Starting from DFT lattice parameters and positions (PBE), the X-ray diffraction stick pattern of LaY2Zn2Si4Au2 was calculated for copper Kα.
Kinematic intensities with the Lorentz-polarization factor, no thermal factor.

Cell and atoms:
```
11
Lattice="-2.101 2.111 12.345 2.101 -2.111 12.345 2.101 2.111 -12.345" Properties=species:S:1:pos:R:3 pbc="T T T"
La 0.000 0.000 0.000
Y 2.101 0.000 3.608
Y 0.000 2.111 8.736
Zn 2.101 0.000 9.984
Zn 0.000 2.111 2.361
Si 2.101 0.000 7.656
Si 0.000 0.000 11.147
Si 0.000 0.000 13.543
Si 0.000 2.111 4.689
Au 0.000 0.000 6.187
Au 0.000 0.000 18.503
```

The 10 most intense peaks (2θ from 5° to 70°), by angle:
| 2θ (°) | I_rel |
| --- | --- |
| 7.16 | 70.5 |
| 14.35 | 23.0 |
| 28.93 | 15.5 |
| 33.09 | 16.9 |
| 33.40 | 100.0 |
| 37.27 | 11.1 |
| 42.16 | 16.0 |
| 42.83 | 18.0 |
| 43.06 | 17.7 |
| 62.35 | 11.6 |

---

Entry 9:
Starting from DFT lattice parameters and positions (PBE), the X-ray diffraction stick pattern of Gd5In4Pt2 was calculated for copper Kα.
Kinematic intensities with the Lorentz-polarization factor, no thermal factor.

Cell and atoms:
```
22
Lattice="8.105 0.000 0.000 0.000 18.335 0.000 0.000 0.000 3.697" Properties=species:S:1:pos:R:3 pbc="T T T"
Gd 0.000 0.000 0.000
Gd 0.936 7.625 0.000
Gd 1.964 4.053 0.000
Gd 2.088 13.220 0.000
Gd 3.116 16.792 0.000
Gd 4.053 9.167 0.000
Gd 4.989 1.543 0.000
Gd 6.017 5.115 0.000
Gd 6.141 14.282 0.000
Gd 7.169 10.710 0.000
In 0.603 15.615 1.848
In 1.712 10.416 1.848
In 2.340 1.248 1.848
In 3.450 6.448 1.848
In 4.655 11.887 1.848
In 5.765 17.087 1.848
In 6.393 7.919 1.848
In 7.502 2.720 1.848
Pt 0.196 5.577 1.848
Pt 3.857 14.744 1.848
Pt 4.248 3.591 1.848
Pt 7.909 12.758 1.848
```

The 10 most intense peaks (2θ from 5° to 70°), by angle:
| 2θ (°) | I_rel |
| --- | --- |
| 9.65 | 20.3 |
| 18.18 | 18.7 |
| 33.03 | 71.7 |
| 34.26 | 100.0 |
| 34.61 | 35.7 |
| 36.03 | 64.6 |
| 36.24 | 53.4 |
| 36.84 | 24.2 |
| 49.30 | 27.8 |
| 62.79 | 17.4 |

---

Entry 10:
Starting from DFT lattice parameters and positions (PBE), the X-ray diffraction stick pattern of PrSmMg6 was calculated for copper Kα.
Kinematic intensities with the Lorentz-polarization factor, no thermal factor.

Cell and atoms:
```
8
Lattice="5.236 0.000 0.000 0.000 7.407 0.000 0.000 0.000 5.237" Properties=species:S:1:pos:R:3 pbc="T T T"
Pr 0.000 0.000 0.000
Sm 2.618 3.704 2.578
Mg 0.000 1.871 2.622
Mg 0.000 3.704 5.234
Mg 0.000 5.536 2.622
Mg 2.618 0.000 2.584
Mg 2.618 1.871 5.194
Mg 2.618 5.536 5.194
```

The 10 most intense peaks (2θ from 5° to 70°), by angle:
| 2θ (°) | I_rel |
| --- | --- |
| 20.77 | 67.1 |
| 24.03 | 35.6 |
| 34.24 | 100.0 |
| 40.39 | 36.7 |
| 42.27 | 10.8 |
| 49.21 | 17.7 |
| 53.97 | 15.9 |
| 55.49 | 14.7 |
| 61.32 | 36.1 |
| 65.49 | 11.9 |